Entry 1:
Structure and computed powder diffractogram of Na3Ga2P3O12 (a cell relaxed with GGA-PBE; λ = 1.5418 Å (Cu Kα)).
Lines closer than 0.1° are merged.

Peak list (10 most intense, 2θ from 10° to 90°, by angle)
2θ 20.23, d = 4.389 Å, intensity 1000, hkl 1 1 1; 2θ 20.30, d = 4.374 Å, intensity 395, hkl 3 1 -1; 2θ 23.79, d = 3.741 Å, intensity 468, hkl 0 2 1; 2θ 28.84, d = 3.095 Å, intensity 314, hkl 2 2 -2; 2θ 31.50, d = 2.840 Å, intensity 266, hkl 4 2 -1; 2θ 32.20, d = 2.780 Å, intensity 830, hkl 3 1 1; 2θ 32.34, d = 2.769 Å, intensity 422, hkl 3 1 -3; 2θ 35.54, d = 2.526 Å, intensity 755, hkl 6 0 -2; 2θ 48.67, d = 1.871 Å, intensity 357, hkl 0 4 2; 2θ 55.58, d = 1.654 Å, intensity 267, hkl 3 5 -1

Unit cell a=15.1490 b=8.7551 c=8.7552 alpha=90.00 beta=124.86 gamma=90.00
Space group Cc (No. 9)
Inequivalent atoms, fractional coordinates:
Na  0.0000  0.0640  0.0000 [4 per cell]
Na  0.1908  0.3891  0.5313 [4 per cell]
Na  0.4357  0.2283  0.7807 [4 per cell]
Ga  0.0870  0.2506  0.7246 [4 per cell]
Ga  0.2919  0.2421  0.3378 [4 per cell]
P  0.0443  0.3959  0.0371 [4 per cell]
P  0.1905  0.0443  0.5292 [4 per cell]
P  0.3370  0.3930  0.0277 [4 per cell]
O  0.0389  0.4280  0.5434 [4 per cell]
O  0.0480  0.3591  0.8688 [4 per cell]
O  0.1094  0.1482  0.5384 [4 per cell]
O  0.1173  0.0514  0.8500 [4 per cell]
O  0.1461  0.3322  0.2193 [4 per cell]
O  0.2342  0.3326  0.8485 [4 per cell]
O  0.2568  0.0561  0.2030 [4 per cell]
O  0.2692  0.1523  0.5226 [4 per cell]
O  0.3373  0.3629  0.2031 [4 per cell]
O  0.3451  0.4287  0.5223 [4 per cell]
O  0.4349  0.3254  0.0393 [4 per cell]
O  0.4476  0.1822  0.5217 [4 per cell]


Entry 2:
Structure and computed powder diffractogram of Na3GaP2O8 (a cell relaxed with GGA-PBE; λ = 1.5418 Å (Cu Kα)).
Lines closer than 0.1° are merged.

Peak list (10 most intense, 2θ from 10° to 90°, by angle)
2θ 10.43, d = 8.483 Å, intensity 912, hkl 1 0 0; 2θ 14.03, d = 6.310 Å, intensity 865, hkl 0 1 -1; 2θ 19.57, d = 4.536 Å, intensity 568, hkl -1 1 1; 2θ 19.72, d = 4.501 Å, intensity 532, hkl 0 2 0; 2θ 22.01, d = 4.038 Å, intensity 635, hkl 1 2 0; 2θ 23.84, d = 3.732 Å, intensity 1000, hkl 2 0 2; 2θ 32.59, d = 2.748 Å, intensity 647, hkl 2 -1 3; 2θ 33.68, d = 2.661 Å, intensity 971, hkl 2 0 -2; 2θ 33.96, d = 2.640 Å, intensity 614, hkl 1 3 -1; 2θ 34.65, d = 2.589 Å, intensity 856, hkl -1 3 1

Unit cell a=8.9807 b=9.0090 c=9.3755 alpha=89.24 beta=70.95 gamma=87.75
Space group P-1 (No. 2)
Inequivalent atoms, fractional coordinates:
Na  0.0495  0.0821  0.3172 [2 per cell]
Na  0.0734  0.6636  0.3918 [2 per cell]
Na  0.1008  0.2006  0.9122 [2 per cell]
Na  0.3080  0.4079  0.5691 [2 per cell]
Na  0.3451  0.7499  0.6292 [2 per cell]
Na  0.3507  0.2611  0.1773 [2 per cell]
Ga  0.2520  0.5799  0.0111 [2 per cell]
Ga  0.4791  0.0816  0.7457 [2 per cell]
P  0.0306  0.5915  0.7895 [2 per cell]
P  0.2783  0.0908  0.5161 [2 per cell]
P  0.2848  0.9137  0.0464 [2 per cell]
P  0.4656  0.5738  0.2340 [2 per cell]
O  0.0380  0.5646  0.1431 [2 per cell]
O  0.0954  0.5743  0.6168 [2 per cell]
O  0.0959  0.2847  0.1528 [2 per cell]
O  0.1109  0.8953  0.1340 [2 per cell]
O  0.1722  0.2069  0.4696 [2 per cell]
O  0.1763  0.6219  0.8409 [2 per cell]
O  0.2089  0.9370  0.5454 [2 per cell]
O  0.3023  0.0260  0.9126 [2 per cell]
O  0.3126  0.1562  0.6567 [2 per cell]
O  0.3163  0.5333  0.1944 [2 per cell]
O  0.3663  0.7612  0.9766 [2 per cell]
O  0.3684  0.9813  0.1505 [2 per cell]
O  0.3857  0.4152  0.9111 [2 per cell]
O  0.4310  0.7302  0.3108 [2 per cell]
O  0.4459  0.0827  0.3853 [2 per cell]
O  0.4931  0.4582  0.3442 [2 per cell]